Entry 1:
Structure and theoretical X-ray powder pattern of LaP2H2CO6 (a crystal structure in the Materials Project, relaxed with PBE; Cu Kα (λ = 1.5418 Å)).
Lines closer than 0.1° are merged.

Principal peaks in the range 10 to 90 degrees two-theta, sorted by position:
2theta, d (Å), Rel. int.
12.30, 7.197, 100
21.44, 4.144, 75
22.91, 3.882, 60
25.50, 3.492, 43
26.08, 3.416, 26
30.45, 2.936, 67
33.11, 2.706, 23
33.52, 2.673, 25
35.47, 2.531, 18
42.91, 2.108, 19

Structure:
a = 8.371 Å, b = 8.371 Å, c = 5.426 Å
α = 100.49°, β = 100.49°, γ = 118.57°
Fractional positions:
La: 0.228 0.772 0.000
La: 0.772 0.228 0.000
P: 0.145 0.366 0.626
P: 0.366 0.145 0.626
P: 0.634 0.855 0.374
P: 0.855 0.634 0.374
H: 0.102 0.102 0.768
H: 0.318 0.318 0.970
H: 0.682 0.682 0.030
H: 0.898 0.898 0.232
C: 0.230 0.230 0.765
C: 0.770 0.770 0.235
O: 0.023 0.395 0.797
O: 0.031 0.265 0.335
O: 0.265 0.031 0.335
O: 0.316 0.576 0.691
O: 0.395 0.023 0.797
O: 0.424 0.684 0.309
O: 0.576 0.316 0.691
O: 0.605 0.977 0.203
O: 0.684 0.424 0.309
O: 0.735 0.969 0.665
O: 0.969 0.735 0.665
O: 0.977 0.605 0.203



Entry 2:
Structure and theoretical X-ray powder pattern of LaH3CSO7 (a crystal structure in the Materials Project, relaxed with PBE; Cu Kα (λ = 1.5418 Å)).
Lines closer than 0.1° are merged.

Principal peaks in the range 10 to 90 degrees two-theta, sorted by position:
2theta, d (Å), Rel. int.
14.49, 6.115, 100
17.65, 5.026, 24
19.36, 4.584, 66
25.56, 3.485, 28
26.15, 3.407, 72
28.07, 3.179, 37
29.06, 3.073, 24
33.74, 2.656, 41
38.86, 2.318, 22
41.39, 2.181, 40

Structure:
a = 7.108 Å, b = 7.108 Å, c = 11.997 Å
α = 90.00°, β = 90.00°, γ = 90.00°
Fractional positions:
La: 0.107 0.640 0.000
La: 0.360 0.107 0.750
La: 0.640 0.893 0.250
La: 0.893 0.360 0.500
H: 0.032 0.164 0.045
H: 0.164 0.968 0.295
H: 0.177 0.408 0.225
H: 0.378 0.462 0.182
H: 0.408 0.823 0.475
H: 0.462 0.622 0.432
H: 0.538 0.378 0.932
H: 0.592 0.177 0.975
H: 0.622 0.538 0.682
H: 0.823 0.592 0.725
H: 0.836 0.032 0.795
H: 0.968 0.836 0.545
C: 0.104 0.154 0.964
C: 0.154 0.896 0.214
C: 0.846 0.104 0.714
C: 0.896 0.846 0.464
S: 0.247 0.613 0.694
S: 0.387 0.247 0.444
S: 0.613 0.753 0.944
S: 0.753 0.387 0.194
O: 0.008 0.146 0.675
O: 0.122 0.542 0.605
O: 0.133 0.663 0.794
O: 0.142 0.305 0.911
O: 0.146 0.992 0.925
O: 0.217 0.346 0.404
O: 0.247 0.444 0.158
O: 0.305 0.858 0.161
O: 0.337 0.133 0.544
O: 0.346 0.783 0.654
O: 0.386 0.462 0.723
O: 0.444 0.753 0.408
O: 0.458 0.122 0.355
O: 0.462 0.614 0.973
O: 0.538 0.386 0.473
O: 0.542 0.878 0.855
O: 0.556 0.247 0.908
O: 0.614 0.538 0.223
O: 0.654 0.217 0.154
O: 0.663 0.867 0.044
O: 0.695 0.142 0.661
O: 0.753 0.556 0.658
O: 0.783 0.654 0.904
O: 0.854 0.008 0.425
O: 0.858 0.695 0.411
O: 0.867 0.337 0.294
O: 0.878 0.458 0.105
O: 0.992 0.854 0.175